[1]
Structure and theoretical XRD peak list of RbMg14BO15 (a cell relaxed with GGA-PBE; Cu Kα).

Cell and atoms:
```
31
Lattice="4.312 0.000 0.000 0.000 8.143 0.000 0.000 0.000 9.711" Properties=species:S:1:pos:R:3 pbc="T T T"
Rb 0.000 0.000 0.000
Mg 0.000 0.000 4.547
Mg 0.000 2.019 6.774
Mg 0.000 2.070 2.314
Mg 0.000 4.071 4.308
Mg 0.000 6.072 2.314
Mg 0.000 6.124 6.774
Mg 2.156 0.000 2.408
Mg 2.156 0.000 6.763
Mg 2.156 2.079 4.658
Mg 2.156 2.086 8.975
Mg 2.156 4.071 1.506
Mg 2.156 4.071 6.829
Mg 2.156 6.057 8.975
Mg 2.156 6.064 4.658
B 0.000 4.071 8.409
O 0.000 0.000 2.529
O 0.000 0.000 6.571
O 0.000 2.080 4.498
O 0.000 2.687 8.840
O 0.000 4.071 2.236
O 0.000 5.456 8.840
O 0.000 6.063 4.498
O 2.156 0.000 4.489
O 2.156 0.000 8.708
O 2.156 1.973 1.792
O 2.156 2.067 6.740
O 2.156 4.071 4.635
O 2.156 4.071 9.040
O 2.156 6.075 6.740
O 2.156 6.170 1.792
```

Most intense lines, 2θ from 15° to 90°, by angle:
(0 1 3), 2θ 29.70, intensity 19; (1 1 2), 2θ 29.81, intensity 30; (1 2 2), 2θ 35.51, intensity 65; (0 0 4), 2θ 37.03, intensity 74; (2 0 0), 2θ 41.91, intensity 100; (0 4 0), 2θ 44.51, intensity 73; (2 0 4), 2θ 57.14, intensity 36; (0 4 4), 2θ 59.24, intensity 30; (2 4 0), 2θ 62.78, intensity 45; (2 4 4), 2θ 75.18, intensity 27

***

[2]
Structure and theoretical XRD peak list of RbMg6BO7 (a cell relaxed with GGA-PBE; Cu Kα).

Cell and atoms:
```
15
Lattice="4.038 0.000 0.000 0.000 4.038 0.000 0.000 0.000 12.807" Properties=species:S:1:pos:R:3 pbc="T T T"
Rb 0.000 0.000 0.000
Mg 0.000 0.000 6.403
Mg 0.000 2.019 3.720
Mg 0.000 2.019 9.101
Mg 2.019 0.000 3.720
Mg 2.019 0.000 9.101
Mg 2.019 2.019 5.823
B 2.019 2.019 10.777
O 0.000 0.000 8.430
O 0.000 2.019 5.953
O 0.000 2.019 11.048
O 2.019 0.000 5.953
O 2.019 0.000 11.048
O 2.019 2.019 3.713
O 2.019 2.019 9.335
```

Most intense lines, 2θ from 15° to 90°, by angle:
(1 0 1), 2θ 23.09, intensity 52; (1 0 2), 2θ 26.09, intensity 100; (0 0 4), 2θ 27.87, intensity 42; (1 0 3), 2θ 30.47, intensity 32; (1 1 2), 2θ 34.39, intensity 79; (2 0 0), 2θ 44.89, intensity 87; (1 1 5), 2θ 47.70, intensity 28; (2 1 2), 2θ 52.66, intensity 24; (2 0 4), 2θ 53.65, intensity 35; (2 2 0), 2θ 65.36, intensity 25